Computed powder X-ray diffraction pattern of Na5VO5 for Cu Kα, 1.54184 Å, from a crystal structure in Alexandria, relaxed with GGA+U.

Crystal structure
a b c (Å): 5.865 16.297 6.661
angles (deg): 90.00 90.00 90.00
Fractional coordinates of all 44 atoms:
Na (0.003, 0.231, 0.250)
Na (0.003, 0.269, 0.750)
Na (0.207, 0.583, 0.014)
Na (0.207, 0.583, 0.486)
Na (0.207, 0.917, 0.514)
Na (0.207, 0.917, 0.986)
Na (0.339, 0.085, 0.250)
Na (0.339, 0.415, 0.750)
Na (0.491, 0.250, 0.000)
Na (0.491, 0.250, 0.500)
Na (0.509, 0.750, 0.000)
Na (0.509, 0.750, 0.500)
Na (0.661, 0.585, 0.250)
Na (0.661, 0.915, 0.750)
Na (0.793, 0.083, 0.014)
Na (0.793, 0.083, 0.486)
Na (0.793, 0.417, 0.514)
Na (0.793, 0.417, 0.986)
Na (0.997, 0.731, 0.250)
Na (0.997, 0.769, 0.750)
V (0.226, 0.093, 0.750)
V (0.226, 0.407, 0.250)
V (0.774, 0.593, 0.750)
V (0.774, 0.907, 0.250)
O (0.034, 0.012, 0.750)
O (0.034, 0.488, 0.250)
O (0.167, 0.154, 0.538)
O (0.167, 0.154, 0.962)
O (0.167, 0.346, 0.038)
O (0.167, 0.346, 0.462)
O (0.348, 0.673, 0.250)
O (0.348, 0.827, 0.750)
O (0.494, 0.556, 0.750)
O (0.494, 0.944, 0.250)
O (0.506, 0.056, 0.750)
O (0.506, 0.444, 0.250)
O (0.652, 0.173, 0.250)
O (0.652, 0.327, 0.750)
O (0.833, 0.654, 0.538)
O (0.833, 0.654, 0.962)
O (0.833, 0.846, 0.038)
O (0.833, 0.846, 0.462)
O (0.966, 0.512, 0.750)
O (0.966, 0.988, 0.250)

Main lines, by angle (10 to 80 degrees two-theta):
(hkl)	2θ (°)	I/Imax
1 1 0	16.06	24
1 1 1	20.90	51
0 4 1	25.63	28
0 6 0	32.98	28
1 3 2	35.12	100
2 4 0	37.80	58
1 4 2	38.12	39
1 5 2	41.72	29
1 7 2	50.28	23
0 0 4	55.14	37